# Rb2FePtO4
Calculated powder diffraction line list, Cu Kα (weighted mean of Kα1 and Kα2). Input: a DFT-relaxed cell (PBE+U, Alexandria).
No peak broadening, texture or thermal motion is included.

The 10 most intense peaks (5° ≤ 2θ ≤ 70°), in order of falling intensity:
d 2.977, intensity 100, (0 2 6)
d 4.150, intensity 100, (1 1 3)
d 5.669, intensity 81, (0 2 2)
d 2.669, intensity 58, (2 2 0)
d 4.948, intensity 55, (0 0 4)
d 3.164, intensity 55, (1 3 3)
d 3.458, intensity 51, (0 4 0)
d 1.841, intensity 51, (2 4 6)
d 2.175, intensity 26, (2 0 6)
d 1.803, intensity 26, (2 6 0)

Cell and atoms:
Lattice parameters (Å, degrees): 5.7867 13.8333 19.7906 90.00 90.00 90.00
Space group Fddd (No. 70, origin choice 2)
Inequivalent atoms, fractional coordinates:
Rb1 0.1250 0.1250 0.2955 [16 per cell]
Fe1 0.1250 0.1250 0.1250 [8 per cell]
Pt1 0.1250 0.1250 0.6250 [8 per cell]
O1 0.1078 0.2827 0.3762 [32 per cell]